Diffraction record for Li2CrPbF8. The XRD peak list is computed, not measured: it uses a DFT-relaxed cell (GGA+U, Alexandria) and Cu Kα, 1.54184 Å.
No peak broadening, texture or thermal motion is included.

Largest 8 diffraction maxima, low angle first, 5 to 70 degrees two-theta:
Position (°2θ)  I (rel.)
12.59  25
18.53  100
24.39  34
25.33  26
28.12  23
30.06  32
38.20  36
39.67  22

Structure:
```
Li2CrPbF8
1.0
3.689 -3.173 0.000
3.689 3.173 0.000
-1.035 0.000 7.033
Li Cr Pb F
2 1 1 8
Cartesian
0.073 0.000 1.513
6.269 0.000 5.520
3.171 0.000 3.516
3.689 0.000 0.000
0.245 0.000 7.008
1.387 0.000 3.211
2.955 1.314 4.864
3.387 1.314 2.169
2.955 -1.314 4.864
3.387 -1.314 2.169
4.956 0.000 3.822
6.098 0.000 0.025
```